(1)
Structure and calculated X-ray powder pattern of NaTl2Sn (the GGA-PBE geometry in the Materials Project; λ = 1.5418 Å (Cu Kα)).

Peak list (11 most intense, 2θ = 5–70°, by angle)
2θ 19.75, I = 7; 2θ 22.84, I = 26; 2θ 32.52, I = 100; 2θ 38.33, I = 4; 2θ 40.11, I = 8; 2θ 46.65, I = 19; 2θ 51.13, I = 2; 2θ 52.55, I = 11; 2θ 58.02, I = 39; 2θ 61.91, I = 1; 2θ 68.11, I = 12

```
data_NaTl2Sn
_chemical_formula_sum 'Na4 Tl8 Sn4'
_symmetry_space_group_name_H-M 'P 1'
_symmetry_Int_Tables_number 1
_symmetry_space_group_name_Hall 'P 1'
_cell_length_a 7.788
_cell_length_b 7.788
_cell_length_c 7.788
_cell_angle_alpha 90.00
_cell_angle_beta 90.00
_cell_angle_gamma 90.00
loop_
_atom_site_label
_atom_site_fract_x
_atom_site_fract_y
_atom_site_fract_z
_atom_site_occupancy
Na1 0.000 0.000 0.000 1
Na2 0.000 0.500 0.500 1
Na3 0.500 0.000 0.500 1
Na4 0.500 0.500 0.000 1
Tl1 0.250 0.250 0.250 1
Tl2 0.250 0.250 0.750 1
Tl3 0.250 0.750 0.250 1
Tl4 0.250 0.750 0.750 1
Tl5 0.750 0.250 0.250 1
Tl6 0.750 0.250 0.750 1
Tl7 0.750 0.750 0.250 1
Tl8 0.750 0.750 0.750 1
Sn1 0.000 0.000 0.500 1
Sn2 0.000 0.500 0.000 1
Sn3 0.500 0.000 0.000 1
Sn4 0.500 0.500 0.500 1
```



(2)
Structure and calculated X-ray powder pattern of Na6ZnSn2 (the GGA-PBE geometry in the Materials Project; λ = 1.5418 Å (Cu Kα)).

Peak list (12 most intense, 2θ = 5–70°, by angle)
2θ 18.40, I = 96; 2θ 18.90, I = 91; 2θ 20.16, I = 100; 2θ 21.26, I = 50; 2θ 31.66, I = 76; 2θ 32.56, I = 79; 2θ 33.25, I = 40; 2θ 34.85, I = 75; 2θ 35.38, I = 68; 2θ 37.94, I = 46; 2θ 38.85, I = 49; 2θ 51.37, I = 45

```
data_Na6ZnSn2
_chemical_formula_sum 'Na6 Zn1 Sn2'
_symmetry_space_group_name_H-M 'P 1'
_symmetry_Int_Tables_number 1
_symmetry_space_group_name_Hall 'P 1'
_cell_length_a 5.763
_cell_length_b 5.763
_cell_length_c 9.412
_cell_angle_alpha 96.92
_cell_angle_beta 96.92
_cell_angle_gamma 57.00
loop_
_atom_site_label
_atom_site_fract_x
_atom_site_fract_y
_atom_site_fract_z
_atom_site_occupancy
Na1 0.030 0.030 0.225 1
Na2 0.207 0.207 0.570 1
Na3 0.326 0.326 0.909 1
Na4 0.674 0.674 0.091 1
Na5 0.793 0.793 0.430 1
Na6 0.970 0.970 0.775 1
Zn1 0.500 0.500 0.500 1
Sn1 0.354 0.354 0.249 1
Sn2 0.646 0.646 0.751 1
```



(3)
Structure and calculated X-ray powder pattern of NaSr3 (the GGA-PBE geometry in the Materials Project; λ = 1.5418 Å (Cu Kα)).

Peak list (12 most intense, 2θ = 5–70°, by angle)
2θ 12.27, I = 5; 2θ 17.93, I = 14; 2θ 21.34, I = 6; 2θ 24.69, I = 23; 2θ 26.21, I = 26; 2θ 28.01, I = 100; 2θ 36.32, I = 17; 2θ 43.47, I = 20; 2θ 47.37, I = 25; 2θ 51.47, I = 24; 2θ 52.51, I = 19; 2θ 66.24, I = 9

```
data_NaSr3
_chemical_formula_sum 'Na2 Sr6'
_symmetry_space_group_name_H-M 'P 1'
_symmetry_Int_Tables_number 1
_symmetry_space_group_name_Hall 'P 1'
_cell_length_a 8.326
_cell_length_b 8.326
_cell_length_c 6.801
_cell_angle_alpha 90.00
_cell_angle_beta 90.00
_cell_angle_gamma 120.00
loop_
_atom_site_label
_atom_site_fract_x
_atom_site_fract_y
_atom_site_fract_z
_atom_site_occupancy
Na1 0.333 0.667 0.250 1
Na2 0.667 0.333 0.750 1
Sr1 0.167 0.335 0.750 1
Sr2 0.167 0.833 0.750 1
Sr3 0.335 0.167 0.250 1
Sr4 0.665 0.833 0.750 1
Sr5 0.833 0.167 0.250 1
Sr6 0.833 0.665 0.250 1
```